Record 1
For Cs2BaNaI5, a DFT-relaxed cell (PBE, Alexandria) gives the theoretical powder X-ray diffraction pattern in this record (Cu Kα).
Neutral-atom scattering factors, no anomalous dispersion.

Peak list (10 most intense, 5° ≤ 2θ ≤ 70°, most intense first)
| 2θ (°) | I_rel | index |
| --- | --- | --- |
| 24.03 | 100 | 1 1 3 |
| 28.68 | 51 | 1 5 2 |
| 24.82 | 43 | 0 6 1 |
| 34.32 | 33 | 2 0 0 |
| 40.14 | 20 | 1 7 4 |
| 42.81 | 20 | 2 6 1 |
| 26.43 | 19 | 1 5 0 |
| 23.59 | 17 | 1 3 2 |
| 55.59 | 15 | 3 1 3 |
| 35.03 | 12 | 1 7 2 |

```
data_Cs2BaNaI5
_cell_length_a 5.227
_cell_length_b 22.069
_cell_length_c 16.205
_cell_angle_alpha 90.00
_cell_angle_beta 90.00
_cell_angle_gamma 90.00
_symmetry_space_group_name_H-M 'C m c 21'
_symmetry_Int_Tables_number 36
loop_
_symmetry_equiv_pos_as_xyz
'x,y,z'
'-x,-y,z+1/2'
'-x,y,z'
'x,-y,z+1/2'
'x+1/2,y+1/2,z'
'-x+1/2,-y+1/2,z+1/2'
'-x+1/2,y+1/2,z'
'x+1/2,-y+1/2,z+1/2'
loop_
_atom_site_label
_atom_site_type_symbol
_atom_site_fract_x
_atom_site_fract_y
_atom_site_fract_z
Cs1 Cs 0.000 0.107 0.000
Cs2 Cs 0.000 0.127 0.615
Ba1 Ba 0.000 0.209 0.322
Na1 Na 0.000 0.489 0.780
I1 I 0.000 0.054 0.362
I2 I 0.000 0.284 0.966
I3 I 0.000 0.305 0.681
I4 I 0.000 0.366 0.313
I5 I 0.000 0.500 0.094
```



Record 2
For Cs2BaPbI6, a DFT-relaxed cell (PBE, Alexandria) gives the theoretical powder X-ray diffraction pattern in this record (Cu Kα).
Neutral-atom scattering factors, no anomalous dispersion.

Peak list (10 most intense, 5° ≤ 2θ ≤ 70°, most intense first)
| 2θ (°) | I_rel | index |
| --- | --- | --- |
| 27.12 | 100 | 4 0 0 |
| 38.74 | 77 | 4 4 0 |
| 23.43 | 49 | 2 2 2 |
| 63.25 | 35 | 8 4 0 |
| 19.09 | 30 | 2 2 0 |
| 13.47 | 30 | 2 0 0 |
| 47.93 | 27 | 4 4 4 |
| 45.77 | 23 | 6 2 2 |
| 30.40 | 17 | 4 2 0 |
| 33.38 | 15 | 4 2 2 |

```
data_Cs2BaPbI6
_cell_length_a 13.150
_cell_length_b 13.150
_cell_length_c 13.150
_cell_angle_alpha 90.00
_cell_angle_beta 90.00
_cell_angle_gamma 90.00
_symmetry_space_group_name_H-M 'F m -3 m'
_symmetry_Int_Tables_number 225
_symmetry_space_group_name_Hall '-F 4 2 3'
loop_
_atom_site_label
_atom_site_type_symbol
_atom_site_fract_x
_atom_site_fract_y
_atom_site_fract_z
Cs1 Cs 0.250 0.250 0.250
Ba1 Ba 0.000 0.000 0.000
Pb1 Pb 0.000 0.000 0.500
I1 I 0.000 0.000 0.257
```



Record 3
For Cs2BaSmI6, a DFT-relaxed cell (PBE, Alexandria) gives the theoretical powder X-ray diffraction pattern in this record (Cu Kα).
Neutral-atom scattering factors, no anomalous dispersion.

Peak list (10 most intense, 5° ≤ 2θ ≤ 70°, most intense first)
| 2θ (°) | I_rel | index |
| --- | --- | --- |
| 27.51 | 100 | 2 2 0 |
| 39.29 | 75 | 4 0 0 |
| 23.76 | 62 | 2 0 2 |
| 46.44 | 28 | 4 2 2 |
| 64.22 | 28 | 4 4 4 |
| 48.63 | 27 | 4 0 4 |
| 19.36 | 24 | 2 0 0 |
| 13.65 | 24 | 1 1 0 |
| 30.83 | 13 | 3 1 0 |
| 56.78 | 12 | 4 4 0 |

```
data_Cs2BaSmI6
_cell_length_a 9.164
_cell_length_b 9.181
_cell_length_c 12.970
_cell_angle_alpha 90.00
_cell_angle_beta 90.00
_cell_angle_gamma 90.00
_symmetry_space_group_name_H-M 'I m m m'
_symmetry_Int_Tables_number 71
_symmetry_space_group_name_Hall '-I 2 2'
loop_
_atom_site_label
_atom_site_type_symbol
_atom_site_fract_x
_atom_site_fract_y
_atom_site_fract_z
Cs1 Cs 0.000 0.000 0.250
Ba1 Ba 0.000 0.500 0.000
Sm1 Sm 0.000 0.500 0.500
I1 I 0.000 0.500 0.261
I2 I 0.239 0.261 0.500
```



Record 4
For CsBa2In2, a DFT-relaxed cell (PBE, Alexandria) gives the theoretical powder X-ray diffraction pattern in this record (Cu Kα).
Neutral-atom scattering factors, no anomalous dispersion.

Peak list (10 most intense, 5° ≤ 2θ ≤ 70°, most intense first)
| 2θ (°) | I_rel | index |
| --- | --- | --- |
| 24.58 | 100 | 1 1 2 |
| 27.08 | 94 | 2 0 0 |
| 26.86 | 39 | 1 0 3 |
| 38.68 | 36 | 2 2 0 |
| 46.36 | 36 | 3 1 2 |
| 38.51 | 30 | 2 1 3 |
| 36.67 | 29 | 1 1 4 |
| 54.35 | 18 | 3 1 4 |
| 50.25 | 17 | 2 1 5 |
| 63.15 | 17 | 4 2 0 |

```
data_CsBa2In2
_cell_length_a 6.585
_cell_length_b 6.585
_cell_length_c 11.530
_cell_angle_alpha 90.00
_cell_angle_beta 90.00
_cell_angle_gamma 90.00
_symmetry_space_group_name_H-M 'I 4/m m m'
_symmetry_Int_Tables_number 139
_symmetry_space_group_name_Hall '-I 4 2'
loop_
_atom_site_label
_atom_site_type_symbol
_atom_site_fract_x
_atom_site_fract_y
_atom_site_fract_z
Cs1 Cs 0.000 0.000 0.000
Ba1 Ba 0.000 0.500 0.250
In1 In 0.000 0.000 0.379
```



Record 5
For CsBa2IrO5, a DFT-relaxed cell (PBE, Alexandria) gives the theoretical powder X-ray diffraction pattern in this record (Cu Kα).
Neutral-atom scattering factors, no anomalous dispersion.

Peak list (10 most intense, 5° ≤ 2θ ≤ 70°, most intense first)
| 2θ (°) | I_rel | index |
| --- | --- | --- |
| 29.77 | 100 | 1 1 2 |
| 26.61 | 32 | 0 2 0 |
| 40.18 | 26 | 0 2 4 |
| 48.98 | 25 | 1 3 2 |
| 29.55 | 19 | 0 0 4 |
| 15.12 | 15 | 0 1 1 |
| 61.82 | 14 | 2 2 4 |
| 52.57 | 13 | 1 1 6 |
| 44.91 | 13 | 2 0 0 |
| 52.97 | 11 | 2 2 0 |

```
data_CsBa2IrO5
_cell_length_a 4.037
_cell_length_b 6.701
_cell_length_c 12.090
_cell_angle_alpha 90.00
_cell_angle_beta 90.00
_cell_angle_gamma 90.00
_symmetry_space_group_name_H-M 'I m m m'
_symmetry_Int_Tables_number 71
_symmetry_space_group_name_Hall '-I 2 2'
loop_
_atom_site_label
_atom_site_type_symbol
_atom_site_fract_x
_atom_site_fract_y
_atom_site_fract_z
Cs1 Cs 0.000 0.000 0.000
Ba1 Ba 0.000 0.500 0.223
Ir1 Ir 0.000 0.000 0.500
O1 O 0.000 0.205 0.377
O2 O 0.000 0.500 0.000
```



Record 6
For Cs6K8Ba, a DFT-relaxed cell (PBE, Alexandria) gives the theoretical powder X-ray diffraction pattern in this record (Cu Kα).
Neutral-atom scattering factors, no anomalous dispersion.

Peak list (10 most intense, 5° ≤ 2θ ≤ 70°, most intense first)
| 2θ (°) | I_rel | index |
| --- | --- | --- |
| 22.98 | 100 | 3 -1 1 |
| 20.84 | 76 | 2 1 0 |
| 23.68 | 57 | 1 1 2 |
| 36.06 | 34 | 2 3 1 |
| 18.45 | 24 | 0 2 1 |
| 16.68 | 24 | 1 1 1 |
| 43.58 | 19 | 4 0 3 |
| 54.27 | 18 | 3 -1 5 |
| 28.54 | 18 | 3 -1 2 |
| 36.49 | 18 | 4 1 0 |

```
data_Cs6K8Ba
_cell_length_a 13.0308
_cell_length_b 13.0308
_cell_length_c 9.1967
_cell_angle_alpha 90.00
_cell_angle_beta 90.00
_cell_angle_gamma 120.00
_symmetry_space_group_name_H-M 'P -3'
_symmetry_Int_Tables_number 147
loop_
_symmetry_equiv_pos_as_xyz
'x,y,z'
'-x,-y,-z'
'-y,x-y,z'
'y,-x+y,-z'
'-x+y,-x,z'
'x-y,x,-z'
loop_
_atom_site_label
_atom_site_type_symbol
_atom_site_fract_x
_atom_site_fract_y
_atom_site_fract_z
Cs1 Cs 0.0936 0.6604 0.1679
K1 K 0.0506 0.7741 0.6585
K2 K 0.3333 0.6667 0.6479
Ba1 Ba 0.0000 0.0000 0.0000
```



Record 7
For CsKBa2Li, a DFT-relaxed cell (PBE, Alexandria) gives the theoretical powder X-ray diffraction pattern in this record (Cu Kα).
Neutral-atom scattering factors, no anomalous dispersion.

Peak list (10 most intense, 5° ≤ 2θ ≤ 70°, most intense first)
| 2θ (°) | I_rel | index |
| --- | --- | --- |
| 21.84 | 100 | 1 1 1 |
| 25.73 | 35 | 2 0 0 |
| 43.12 | 33 | 3 1 1 |
| 35.71 | 29 | 2 0 2 |
| 24.35 | 20 | 0 0 2 |
| 41.38 | 18 | 1 1 3 |
| 44.54 | 16 | 2 2 2 |
| 56.49 | 14 | 3 1 3 |
| 36.70 | 14 | 2 2 0 |
| 65.45 | 10 | 4 2 2 |

```
data_CsKBa2Li
_cell_length_a 6.926
_cell_length_b 6.926
_cell_length_c 7.312
_cell_angle_alpha 90.00
_cell_angle_beta 90.00
_cell_angle_gamma 90.00
_symmetry_space_group_name_H-M 'P 4/m m m'
_symmetry_Int_Tables_number 123
_symmetry_space_group_name_Hall '-P 4 2'
loop_
_atom_site_label
_atom_site_type_symbol
_atom_site_fract_x
_atom_site_fract_y
_atom_site_fract_z
Cs1 Cs 0.000 0.000 0.000
K1 K 0.500 0.500 0.000
Ba1 Ba 0.000 0.500 0.500
Li1 Li 0.500 0.500 0.500
```



Record 8
For CsBa2NaLi, a DFT-relaxed cell (PBE, Alexandria) gives the theoretical powder X-ray diffraction pattern in this record (Cu Kα).
Neutral-atom scattering factors, no anomalous dispersion.

Peak list (10 most intense, 5° ≤ 2θ ≤ 70°, most intense first)
| 2θ (°) | I_rel | index |
| --- | --- | --- |
| 22.78 | 100 | 1 1 1 |
| 25.88 | 38 | 2 0 0 |
| 43.83 | 35 | 3 1 1 |
| 37.99 | 28 | 2 0 2 |
| 60.11 | 21 | 4 2 0 |
| 27.32 | 17 | 0 0 2 |
| 45.66 | 15 | 1 1 3 |
| 46.54 | 15 | 2 2 2 |
| 36.93 | 15 | 2 2 0 |
| 18.73 | 11 | 1 0 1 |

```
data_CsBa2NaLi
_cell_length_a 6.885
_cell_length_b 6.885
_cell_length_c 6.529
_cell_angle_alpha 90.00
_cell_angle_beta 90.00
_cell_angle_gamma 90.00
_symmetry_space_group_name_H-M 'P 4/m m m'
_symmetry_Int_Tables_number 123
_symmetry_space_group_name_Hall '-P 4 2'
loop_
_atom_site_label
_atom_site_type_symbol
_atom_site_fract_x
_atom_site_fract_y
_atom_site_fract_z
Cs1 Cs 0.000 0.000 0.000
Ba1 Ba 0.000 0.500 0.500
Na1 Na 0.500 0.500 0.000
Li1 Li 0.500 0.500 0.500
```